(1)
Starting from DFT lattice parameters and positions (GGA-PBE), the PXRD pattern of Nb2Ge2O7 was computed for CuKα.
No peak broadening, texture or thermal motion is included.

Largest 6 diffraction maxima, in order of falling intensity, 2θ = 10–80°:
- 29.05 deg, intensity 100
- 32.05 deg, intensity 73
- 45.95 deg, intensity 62
- 25.11 deg, intensity 51
- 49.43 deg, intensity 40
- 27.45 deg, intensity 36

Cell and atoms:
Lattice parameters (Å, degrees): 13.525 13.525 5.847 90.00 90.00 163.20
Fractional coordinates of all 22 atoms:
Nb (0.057, 0.943, 0.500)
Nb (0.161, 0.839, 0.975)
Nb (0.839, 0.161, 0.475)
Nb (0.943, 0.057, 0.000)
Ge (0.284, 0.716, 0.914)
Ge (0.435, 0.565, 0.565)
Ge (0.565, 0.435, 0.065)
Ge (0.716, 0.284, 0.414)
O (0.007, 0.993, 0.718)
O (0.093, 0.907, 0.159)
O (0.114, 0.886, 0.681)
O (0.203, 0.797, 0.242)
O (0.220, 0.780, 0.777)
O (0.351, 0.649, 0.495)
O (0.443, 0.557, 0.907)
O (0.557, 0.443, 0.407)
O (0.649, 0.351, 0.995)
O (0.780, 0.220, 0.277)
O (0.797, 0.203, 0.742)
O (0.886, 0.114, 0.181)
O (0.907, 0.093, 0.659)
O (0.993, 0.007, 0.218)

***

(2)
Starting from DFT lattice parameters and positions (GGA-PBE), the PXRD pattern of YNbGe2O8 was computed for CuKα.
No peak broadening, texture or thermal motion is included.

Largest 6 diffraction maxima, in order of falling intensity, 2θ = 10–80°:
- 25.94 deg, intensity 100
- 33.98 deg, intensity 67
- 51.12 deg, intensity 60
- 64.77 deg, intensity 19
- 37.01 deg, intensity 18
- 53.35 deg, intensity 16

Cell and atoms:
Lattice parameters (Å, degrees): 5.785 5.785 5.785 107.16 107.16 114.21
Fractional coordinates of all 12 atoms:
Y (0.000, 0.000, 0.000)
Nb (0.750, 0.250, 0.500)
Ge (0.250, 0.750, 0.500)
Ge (0.500, 0.500, 0.000)
O (0.045, 0.370, 0.325)
O (0.045, 0.720, 0.675)
O (0.120, 0.317, 0.803)
O (0.280, 0.955, 0.325)
O (0.514, 0.317, 0.197)
O (0.630, 0.955, 0.675)
O (0.683, 0.486, 0.803)
O (0.683, 0.880, 0.197)

***

(3)
Starting from DFT lattice parameters and positions (GGA-PBE), the PXRD pattern of Nb8Ge2P was computed for CuKα.
No peak broadening, texture or thermal motion is included.

Largest 6 diffraction maxima, in order of falling intensity, 2θ = 10–80°:
- 38.08 deg, intensity 100
- 41.91 deg, intensity 66
- 39.10 deg, intensity 56
- 36.42 deg, intensity 44
- 54.50 deg, intensity 27
- 35.60 deg, intensity 27

Cell and atoms:
Lattice parameters (Å, degrees): 8.017 8.017 5.506 100.65 100.65 33.40
Fractional coordinates of all 11 atoms:
Nb (0.021, 0.021, 0.256)
Nb (0.227, 0.227, 0.339)
Nb (0.338, 0.338, 0.943)
Nb (0.409, 0.409, 0.488)
Nb (0.591, 0.591, 0.512)
Nb (0.662, 0.662, 0.057)
Nb (0.773, 0.773, 0.661)
Nb (0.979, 0.979, 0.744)
Ge (0.160, 0.160, 0.761)
Ge (0.840, 0.840, 0.239)
P (0.500, 0.500, 0.000)